No. 1
The following is a theoretical XRD peak list of Ac3GaCo. It was derived from a PBE-relaxed structure, using a wavelength of 1.5418 Å.

The 12 most intense peaks (2θ from 15° to 90°), low angle first:
d_spacing	2theta	I_rel	index
3.919	22.69	21	4 0 1
3.637	24.47	30	1 1 -1
3.335	26.73	19	3 1 0
3.155	28.29	44	4 0 -2
3.131	28.51	100	3 1 1
3.032	29.46	35	0 0 3
2.988	29.91	55	1 1 2
2.903	30.80	21	6 0 0
2.648	33.86	25	5 1 0
2.410	37.31	25	1 1 -3
2.037	44.48	24	0 2 0
1.711	53.57	18	4 2 -2

Unit cell a=17.420 b=4.073 c=9.097 alpha=90.00 beta=90.33 gamma=90.00
Space group C2/m (No. 12)
Symmetry-distinct sites (fractional):
1 Ac 0.041 0.000 0.315 x4
2 Ac 0.105 0.500 0.946 x4
3 Ac 0.250 0.000 0.695 x4
4 Ga 0.110 0.500 0.576 x4
5 Co 0.228 0.000 0.034 x4

No. 2
The following is a theoretical XRD peak list of AcGa2CoGe. It was derived from a PBE-relaxed structure, using a wavelength of 1.5418 Å.

The 12 most intense peaks (2θ from 15° to 90°), low angle first:
d_spacing	2theta	I_rel	index
4.005	22.20	16	0 1 1
3.011	29.67	31	1 1 0
2.785	32.14	45	0 1 3
2.760	32.43	52	1 0 3
2.639	33.97	100	1 1 2
2.151	42.00	28	0 2 0
2.107	42.92	27	2 0 0
1.953	46.50	20	0 1 5
1.697	54.04	25	1 2 3
1.680	54.62	21	2 1 3
1.562	59.17	21	1 1 6
1.505	61.61	18	2 2 0

Unit cell a=4.215 b=4.303 c=10.958 alpha=90.00 beta=90.00 gamma=90.00
Space group Imm2 (No. 44)
Symmetry-distinct sites (fractional):
1 Ac 0.000 0.000 0.000 x2
2 Ga 0.000 0.000 0.370 x2
3 Ga 0.000 0.500 0.252 x2
4 Co 0.000 0.500 0.741 x2
5 Ge 0.000 0.000 0.622 x2

No. 3
The following is a theoretical XRD peak list of Ac2GaCoIr. It was derived from a PBE-relaxed structure, using a wavelength of 1.5418 Å.

The 12 most intense peaks (2θ from 15° to 90°), low angle first:
d_spacing	2theta	I_rel	index
4.118	21.58	24	1 0 1
3.460	25.75	31	0 0 4
3.050	29.28	100	1 1 0
2.979	30.00	20	1 1 1
2.768	32.34	25	0 0 5
2.330	38.65	21	1 0 5
2.288	39.38	70	1 1 4
2.157	41.88	55	2 0 0
2.050	44.18	25	1 1 5
1.830	49.82	22	2 0 4
1.701	53.89	24	2 0 5
1.269	74.81	21	3 1 4

Unit cell a=4.314 b=4.314 c=13.840 alpha=90.00 beta=90.00 gamma=90.00
Space group P4/nmm (No. 129, origin choice 2)
Symmetry-distinct sites (fractional):
1 Ac 0.250 0.250 0.103 x2
2 Ac 0.250 0.250 0.672 x2
3 Ga 0.250 0.250 0.418 x2
4 Co 0.250 0.750 0.500 x2
5 Ir 0.250 0.250 0.880 x2

No. 4
The following is a theoretical XRD peak list of Ac2Ga6CoRh. It was derived from a PBE-relaxed structure, using a wavelength of 1.5418 Å.

The 12 most intense peaks (2θ from 15° to 90°), low angle first:
d_spacing	2theta	I_rel	index
3.367	26.47	82	1 1 2
3.355	26.57	16	2 0 0
2.753	32.53	46	0 2 2
2.742	32.66	46	2 0 2
2.379	37.81	100	2 2 0
1.946	46.68	22	1 3 2
1.939	46.84	21	3 1 2
1.682	54.55	46	2 2 4
1.505	61.64	13	3 3 2
1.437	64.88	13	2 4 2
1.434	65.02	13	2 0 6
1.433	65.11	12	4 2 2

Unit cell a=6.711 b=6.751 c=9.514 alpha=90.00 beta=90.00 gamma=90.00
Space group Immm (No. 71)
Symmetry-distinct sites (fractional):
1 Ac 0.000 0.000 0.250 x4
2 Ga 0.000 0.500 0.243 x4
3 Ga 0.243 0.257 0.000 x8
4 Co 0.000 0.500 0.000 x2
5 Rh 0.000 0.500 0.500 x2

No. 5
The following is a theoretical XRD peak list of AcGa3CoRu. It was derived from a PBE-relaxed structure, using a wavelength of 1.5418 Å.

The 12 most intense peaks (2θ from 15° to 90°), low angle first:
d_spacing	2theta	I_rel	index
4.325	20.53	25	1 1 1
3.687	24.14	44	2 0 0
3.064	29.15	27	0 0 2
3.053	29.25	49	2 2 0
2.876	31.10	65	1 3 1
2.722	32.90	46	0 4 0
2.670	33.56	34	0 2 2
2.356	38.19	100	2 0 2
1.931	47.05	21	3 3 1
1.844	49.44	24	4 0 0
1.782	51.28	52	2 4 2
1.334	70.58	16	0 4 4

Unit cell a=7.374 b=10.889 c=6.128 alpha=90.00 beta=90.00 gamma=90.00
Space group Cmcm (No. 63)
Symmetry-distinct sites (fractional):
1 Ac 0.000 0.237 0.250 x4
2 Ga 0.000 0.278 0.750 x4
3 Ga 0.246 0.500 0.000 x8
4 Co 0.000 0.483 0.750 x4
5 Ru 0.000 0.061 0.750 x4

No. 6
The following is a theoretical XRD peak list of AcGdCoPt. It was derived from a PBE-relaxed structure, using a wavelength of 1.5418 Å.

The 12 most intense peaks (2θ from 15° to 90°), low angle first:
d_spacing	2theta	I_rel	index
4.151	21.41	12	1 1 1
3.595	24.77	5	2 0 0
2.542	35.31	100	2 2 0
2.168	41.66	7	3 1 1
1.797	50.80	18	4 0 0
1.649	55.73	3	3 3 1
1.608	57.31	2	4 2 0
1.468	63.38	37	4 2 2
1.384	67.72	2	5 1 1
1.271	74.68	11	4 4 0
1.215	78.74	2	5 3 1
1.137	85.40	17	6 2 0

Unit cell a=7.190 b=7.190 c=7.190 alpha=90.00 beta=90.00 gamma=90.00
Space group F-43m (No. 216)
Symmetry-distinct sites (fractional):
1 Ac 0.000 0.000 0.000 x4
2 Gd 0.000 0.000 0.500 x4
3 Co 0.250 0.250 0.250 x4
4 Pt 0.250 0.250 0.750 x4

Please write out number 5 again, unchanged.
The following is a theoretical XRD peak list of AcGa3CoRu. It was derived from a PBE-relaxed structure, using a wavelength of 1.5418 Å.

The 12 most intense peaks (2θ from 15° to 90°), low angle first:
d_spacing	2theta	I_rel	index
4.325	20.53	25	1 1 1
3.687	24.14	44	2 0 0
3.064	29.15	27	0 0 2
3.053	29.25	49	2 2 0
2.876	31.10	65	1 3 1
2.722	32.90	46	0 4 0
2.670	33.56	34	0 2 2
2.356	38.19	100	2 0 2
1.931	47.05	21	3 3 1
1.844	49.44	24	4 0 0
1.782	51.28	52	2 4 2
1.334	70.58	16	0 4 4

Unit cell a=7.374 b=10.889 c=6.128 alpha=90.00 beta=90.00 gamma=90.00
Space group Cmcm (No. 63)
Symmetry-distinct sites (fractional):
1 Ac 0.000 0.237 0.250 x4
2 Ga 0.000 0.278 0.750 x4
3 Ga 0.246 0.500 0.000 x8
4 Co 0.000 0.483 0.750 x4
5 Ru 0.000 0.061 0.750 x4